The following is a simulated PXRD pattern of Cs2CrO4. It was derived from a GGA+U-relaxed structure, using λ = 1.5418 Å (Cu Kα).
Lines closer than 0.1° are merged.

Peak list (6 most intense, 2θ from 10° to 80°, sorted by position)
Position (°2θ)  I (rel.)  hkl
23.26  577  1 1 2
25.98  413  2 0 2
26.17  1000  2 1 1
27.19  991  0 1 3
27.76  712  0 2 0
38.38  340  2 2 2

Cell and atoms:
Cell lengths 8.574, 6.427, 11.439 Å; angles 90.00, 90.00, 90.00 degrees
Space group Pnma (No. 62)
Symmetry-distinct sites (fractional):
1 Cs 0.010 0.250 0.197 [4 per cell]
2 Cs 0.170 0.750 0.414 [4 per cell]
3 Cr 0.232 0.750 0.080 [4 per cell]
4 O 0.038 0.750 0.083 [4 per cell]
5 O 0.201 0.037 0.647 [8 per cell]
6 O 0.206 0.250 0.441 [4 per cell]